Starting from a DFT-relaxed cell (PBE, the Materials Project), the powder X-ray diffraction pattern of UP2O7 was simulated for Cu Kα (λ = 1.5418 Å).

Principal peaks in the range 10° ≤ 2θ ≤ 90°, in order of rising 2θ:
d (Å)	2theta	I (rel.)	(hkl)
5.128	17.29	77	1 1 1
4.441	19.99	100	0 2 0
3.140	28.42	52	2 0 2
2.678	33.46	70	3 1 1
2.564	35.00	16	2 2 2
2.038	44.46	28	3 1 3
1.986	45.68	37	0 4 2
1.813	50.33	29	2 4 2
1.709	53.62	32	1 1 5
1.501	61.80	22	3 1 5
1.480	62.77	16	2 4 4
1.156	83.62	16	5 3 5

Cell and atoms:
```
data_UP2O7
_chemical_formula_sum 'U4 P8 O28'
_space_group_name_H-M_alt 'P c a 21'
_space_group_IT_number 29
_space_group_name_Hall 'P 2c -2ac'
_cell_length_a 8.8784
_cell_length_b 8.8889
_cell_length_c 8.8776
_cell_angle_alpha 90.00
_cell_angle_beta 90.00
_cell_angle_gamma 90.00
loop_
_atom_site_label
_atom_site_type_symbol
_atom_site_fract_x
_atom_site_fract_y
_atom_site_fract_z
U1 U 0.0052 0.2500 0.0000
P1 P 0.0965 0.1483 0.3985
P2 P 0.1073 0.6487 0.1024
O1 O 0.0258 0.7501 0.9797
O2 O 0.0465 0.6897 0.2586
O3 O 0.0648 0.1694 0.2305
O4 O 0.0682 0.9868 0.4513
O5 O 0.0716 0.4859 0.0590
O6 O 0.2255 0.6873 0.5852
O7 O 0.2467 0.2051 0.9417
```


Starting from a DFT-relaxed cell (PBE, the Materials Project), the powder X-ray diffraction pattern of UP4O12 was simulated for Cu Kα (λ = 1.5418 Å).

Principal peaks in the range 10° ≤ 2θ ≤ 90°, in order of rising 2θ:
d (Å)	2theta	I (rel.)	(hkl)
6.546	13.53	46	0 2 0
5.961	14.86	19	2 0 -1
4.417	20.10	100	0 2 1
4.243	20.93	21	2 0 0
4.220	21.05	21	2 0 -2
3.879	22.93	20	1 3 0
3.652	24.37	21	1 1 1
3.621	24.59	21	3 1 -2
3.554	25.06	49	2 2 0
2.870	31.16	43	2 4 -1
2.676	33.48	20	2 0 -3
2.154	41.95	28	1 5 -2

Cell and atoms:
```
data_UP4O12
_chemical_formula_sum 'U4 P16 O48'
_space_group_name_H-M_alt 'C 1 m 1'
_space_group_IT_number 8
_space_group_name_Hall 'C -2y'
_cell_length_a 11.9225
_cell_length_b 13.0918
_cell_length_c 8.4406
_cell_angle_alpha 90.00
_cell_angle_beta 134.62
_cell_angle_gamma 90.00
loop_
_atom_site_label
_atom_site_type_symbol
_atom_site_fract_x
_atom_site_fract_y
_atom_site_fract_z
U1 U 0.0000 0.2180 0.0000
P1 P 0.1163 0.3864 0.4684
P2 P 0.1430 0.1160 0.7548
P3 P 0.3579 0.3841 0.2463
P4 P 0.3803 0.1129 0.5260
O1 O 0.0037 0.1495 0.5012
O2 O 0.0641 0.3130 0.2925
O3 O 0.0902 0.1193 0.8718
O4 O 0.0969 0.5000 0.3762
O5 O 0.1770 0.0000 0.7343
O6 O 0.2128 0.1239 0.3070
O7 O 0.2185 0.3223 0.1580
O8 O 0.2791 0.3742 0.6965
O9 O 0.2862 0.1758 0.8490
O10 O 0.3262 0.5000 0.2701
O11 O 0.4056 0.3799 0.1230
O12 O 0.4095 0.0000 0.6253
O13 O 0.4414 0.1867 0.7062
O14 O 0.4886 0.1132 0.4796
```